The following is a computed powder diffraction line list of VO2. It was derived from a cell relaxed with GGA+U, using Cu Kα (weighted mean of Kα1 and Kα2).
Peak positions follow from Bragg's law for the DFT cell and can differ from measured ones.

Principal peaks in the range 15° ≤ 2θ ≤ 90°, most intense first:
18.3°, I 100
42.6°, I 17
42.9°, I 16
43.8°, I 16
35.9°, I 11
35.4°, I 10

Structure:
```
VO2
1.0
4.130 -4.249 0.000
4.130 4.249 0.000
-4.127 0.000 4.214
V O
4 8
direct
0.000 0.000 0.000
0.000 0.000 0.500
0.000 0.500 0.000
0.500 0.000 0.500
0.200 0.238 0.975
0.222 0.757 0.459
0.238 0.200 0.475
0.243 0.778 0.041
0.757 0.222 0.959
0.762 0.800 0.525
0.778 0.243 0.541
0.800 0.762 0.025
```